This entry pairs a crystal structure of Pa4TcGe with its computed powder X-ray diffraction pattern. Radiation: Cu Kα X-rays. Structure: DFT lattice parameters and positions (GGA-PBE).
Kinematic intensities with the Lorentz-polarization factor, no thermal factor.

Peak list (6 most intense, 2θ = 5–70°, most intense first)
Position (°2θ), I_rel, h k l
33.05, 100.0, 2 1 1
41.67, 25.9, 3 1 0
56.22, 22.9, 2 1 3
36.07, 21.0, 1 1 2
30.81, 16.6, 0 0 2
62.99, 14.5, 4 0 2

Cell and atoms:
```
data_Pa4TcGe
_chemical_formula_sum 'Pa8 Tc2 Ge2'
_symmetry_space_group_name_H-M 'P 4/m c c'
_symmetry_Int_Tables_number 124
_symmetry_space_group_name_Hall '-P 4 2c'
_cell_length_a 6.855
_cell_length_b 6.855
_cell_length_c 5.805
_cell_angle_alpha 90.00
_cell_angle_beta 90.00
_cell_angle_gamma 90.00
loop_
_atom_site_label
_atom_site_type_symbol
_atom_site_fract_x
_atom_site_fract_y
_atom_site_fract_z
Pa1 Pa 0.138 0.344 0.000
Tc1 Tc 0.000 0.000 0.250
Ge1 Ge 0.500 0.500 0.250
```

---

This entry pairs a crystal structure of Pr5Y8Sc with its computed powder X-ray diffraction pattern. Radiation: Cu Kα X-rays. Structure: DFT lattice parameters and positions (GGA-PBE).
Kinematic intensities with the Lorentz-polarization factor, no thermal factor.

Peak list (6 most intense, 2θ = 5–70°, most intense first)
Position (°2θ), I_rel, h k l
31.12, 100.0, 0 1 -3
30.99, 46.2, 2 1 -2
32.30, 44.8, 0 3 -2
32.73, 41.8, 2 0 1
29.75, 36.1, 2 -2 0
61.14, 13.9, 4 -2 2

Cell and atoms:
```
data_Pr5Y8Sc
_chemical_formula_sum 'Pr5 Y8 Sc1'
_symmetry_space_group_name_H-M 'P 1'
_symmetry_Int_Tables_number 1
_cell_length_a 7.129
_cell_length_b 8.658
_cell_length_c 8.906
_cell_angle_alpha 114.36
_cell_angle_beta 101.54
_cell_angle_gamma 101.73
loop_
_symmetry_equiv_pos_as_xyz
'x,y,z'
loop_
_atom_site_label
_atom_site_type_symbol
_atom_site_fract_x
_atom_site_fract_y
_atom_site_fract_z
Pr1 Pr 0.000 0.000 0.000
Pr2 Pr 0.029 0.836 0.285
Pr3 Pr 0.120 0.596 0.867
Pr4 Pr 0.332 0.719 0.575
Pr5 Pr 0.640 0.421 0.141
Y1 Y 0.145 0.424 0.145
Y2 Y 0.224 0.156 0.736
Y3 Y 0.422 0.260 0.415
Y4 Y 0.509 0.003 0.015
Y5 Y 0.616 0.591 0.867
Y6 Y 0.724 0.153 0.727
Y7 Y 0.819 0.709 0.567
Y8 Y 0.921 0.265 0.414
Sc1 Sc 0.531 0.829 0.283
```

---

This entry pairs a crystal structure of MgHg5 with its computed powder X-ray diffraction pattern. Radiation: Cu Kα X-rays. Structure: DFT lattice parameters and positions (GGA-PBE).
Kinematic intensities with the Lorentz-polarization factor, no thermal factor.

Peak list (6 most intense, 2θ = 5–70°, most intense first)
Position (°2θ), I_rel, h k l
36.28, 100.0, 1 1 3
31.62, 31.5, 0 0 6
59.39, 24.3, 1 1 9
32.52, 23.9, 1 1 0
67.59, 22.0, 3 0 6
45.99, 18.6, 1 1 6

Cell and atoms:
```
data_MgHg5
_chemical_formula_sum 'Mg3 Hg15'
_symmetry_space_group_name_H-M 'R 3 2'
_symmetry_Int_Tables_number 155
_symmetry_space_group_name_Hall 'R 3 2"'
_cell_length_a 5.5069
_cell_length_b 5.5069
_cell_length_c 16.9766
_cell_angle_alpha 90.00
_cell_angle_beta 90.00
_cell_angle_gamma 120.00
loop_
_atom_site_label
_atom_site_type_symbol
_atom_site_fract_x
_atom_site_fract_y
_atom_site_fract_z
Mg1 Mg 0.0000 0.0000 0.0000
Hg1 Hg 0.0000 0.0000 0.3357
Hg2 Hg 0.0000 0.6636 0.5000
```